Diffraction record for Er6CoSb3. The X-ray powder pattern is calculated, not measured: it uses a crystal structure in Alexandria, relaxed with GGA-PBE and Cu Kα X-rays.
Kinematic intensities with the Lorentz-polarization factor, no thermal factor.

Principal peaks in the range 2θ = 5–70°, by angle:
| Position (°2θ) | Rel. int. |
| --- | --- |
| 23.62 | 30 |
| 24.27 | 28 |
| 32.96 | 100 |
| 34.90 | 45 |
| 35.22 | 66 |
| 44.80 | 23 |
| 61.66 | 23 |
| 64.81 | 24 |

abc: 9.0264 9.0264 7.3336
angles: 90.00 90.00 103.46
Element x y z (fractional)
Er (0.0065, 0.9935, 0.5000)
Er (0.0952, 0.6001, 0.5789)
Er (0.2433, 0.7567, 0.0417)
Er (0.2934, 0.3710, 0.0742)
Er (0.3710, 0.2934, 0.5742)
Er (0.3999, 0.9048, 0.5789)
Er (0.6001, 0.0952, 0.0789)
Er (0.6290, 0.7066, 0.0742)
Er (0.7066, 0.6290, 0.5742)
Er (0.7567, 0.2433, 0.5417)
Er (0.9048, 0.3999, 0.0789)
Er (0.9935, 0.0065, 0.0000)
Co (0.1384, 0.8616, 0.7536)
Co (0.8616, 0.1384, 0.2536)
Sb (0.0707, 0.2921, 0.7551)
Sb (0.2921, 0.0707, 0.2551)
Sb (0.3960, 0.6040, 0.3777)
Sb (0.6040, 0.3960, 0.8777)
Sb (0.7079, 0.9293, 0.7551)
Sb (0.9293, 0.7079, 0.2551)

---

Diffraction record for Tb12Fe6Pb. The X-ray powder pattern is calculated, not measured: it uses a crystal structure in Alexandria, relaxed with GGA-PBE and Cu Kα X-rays.
Kinematic intensities with the Lorentz-polarization factor, no thermal factor.

Principal peaks in the range 2θ = 5–70°, by angle:
| Position (°2θ) | Rel. int. |
| --- | --- |
| 28.89 | 47 |
| 31.71 | 68 |
| 34.33 | 100 |
| 36.78 | 26 |
| 47.43 | 26 |
| 54.76 | 38 |
| 58.19 | 42 |
| 67.80 | 24 |

abc: 8.4644 8.4644 8.4644
angles: 109.47 109.47 109.47
Element x y z (fractional)
Tb (0.1042, 0.8039, 0.3003)
Tb (0.1961, 0.3003, 0.4965)
Tb (0.1961, 0.6997, 0.8958)
Tb (0.3003, 0.1042, 0.8039)
Tb (0.3003, 0.4965, 0.1961)
Tb (0.4965, 0.1961, 0.3003)
Tb (0.5035, 0.8039, 0.6997)
Tb (0.6997, 0.5035, 0.8039)
Tb (0.6997, 0.8958, 0.1961)
Tb (0.8039, 0.3003, 0.1042)
Tb (0.8039, 0.6997, 0.5035)
Tb (0.8958, 0.1961, 0.6997)
Fe (0.1085, 0.6085, 0.5000)
Fe (0.3915, 0.5000, 0.8915)
Fe (0.5000, 0.1085, 0.6085)
Fe (0.5000, 0.8915, 0.3915)
Fe (0.6085, 0.5000, 0.1085)
Fe (0.8915, 0.3915, 0.5000)
Pb (0.0000, 0.0000, 0.0000)

---

Q: What is the formula in the second record?
A: Tb12Fe6Pb

---

Q: Which formula does entry 2 have?
A: Tb12Fe6Pb

---

Q: What is the formula in the first record?
A: Er6CoSb3